Record 1
This entry pairs a crystal structure of MnCuO2 with its computed X-ray powder pattern. Radiation: Cu Kα X-rays. Structure: DFT lattice parameters and positions (PBE+U).
Intensities are scaled so that the largest is 100.

Structural model:
```
data_MnCuO2
_chemical_formula_sum 'Mn1 Cu1 O2'
_cell_length_a 2.9547
_cell_length_b 3.1980
_cell_length_c 5.9368
_cell_angle_alpha 77.13
_cell_angle_beta 89.59
_cell_angle_gamma 62.63
_symmetry_space_group_name_H-M 'P -1'
_symmetry_Int_Tables_number 2
loop_
_symmetry_equiv_pos_as_xyz
'x,y,z'
'-x,-y,-z'
loop_
_atom_site_label
_atom_site_type_symbol
_atom_site_fract_x
_atom_site_fract_y
_atom_site_fract_z
_atom_site_occupancy
Mn1 Mn 0.0000 0.0000 0.0000 1
Cu1 Cu 0.5000 0.0000 0.5000 1
O1 O 0.4009 0.1893 0.1807 1
```

The 10 most intense peaks (10 to 90 degrees two-theta), sorted by position:
- (0 0 2), d = 2.876 Å, 2θ 31.1, intensity 48
- (0 1 0), d = 2.752 Å, 2θ 32.5, intensity 75
- (1 0 -1), d = 2.483 Å, 2θ 36.2, intensity 100
- (0 1 2), d = 2.291 Å, 2θ 39.3, intensity 21
- (1 0 1), d = 2.283 Å, 2θ 39.5, intensity 22
- (1 1 -1), d = 2.265 Å, 2θ 39.8, intensity 21
- (0 1 -2), d = 1.781 Å, 2θ 51.3, intensity 20
- (1 1 3), d = 1.643 Å, 2θ 56.0, intensity 16
- (-1 1 1), d = 1.592 Å, 2θ 57.9, intensity 16
- (1 2 1), d = 1.590 Å, 2θ 58.0, intensity 16


Record 2
This entry pairs a crystal structure of Mn3Cu2O8 with its computed X-ray powder pattern. Radiation: Cu Kα X-rays. Structure: DFT lattice parameters and positions (PBE+U).
Intensities are scaled so that the largest is 100.

Structural model:
```
data_Mn3Cu2O8
_chemical_formula_sum 'Mn6 Cu4 O16'
_cell_length_a 9.6720
_cell_length_b 5.7572
_cell_length_c 5.0295
_cell_angle_alpha 90.00
_cell_angle_beta 99.87
_cell_angle_gamma 90.00
_symmetry_space_group_name_H-M 'C 1 2/m 1'
_symmetry_Int_Tables_number 12
loop_
_symmetry_equiv_pos_as_xyz
'x,y,z'
'-x,-y,-z'
'-x,y,-z'
'x,-y,z'
'x+1/2,y+1/2,z'
'-x+1/2,-y+1/2,-z'
'-x+1/2,y+1/2,-z'
'x+1/2,-y+1/2,z'
loop_
_atom_site_label
_atom_site_type_symbol
_atom_site_fract_x
_atom_site_fract_y
_atom_site_fract_z
_atom_site_occupancy
Mn1 Mn 0.0000 0.0000 0.0000 1
Mn2 Mn 0.0000 0.2562 0.5000 1
Cu1 Cu 0.2107 0.5000 0.0747 1
O1 O 0.1006 0.0000 0.3599 1
O2 O 0.1070 0.5000 0.3878 1
O3 O 0.1201 0.2289 0.8614 1
```

The 10 most intense peaks (10 to 90 degrees two-theta), sorted by position:
- (2 0 -1), d = 3.773 Å, 2θ 23.6, intensity 85
- (2 0 1), d = 3.174 Å, 2θ 28.1, intensity 93
- (3 1 0), d = 2.781 Å, 2θ 32.2, intensity 68
- (3 1 -1), d = 2.597 Å, 2θ 34.5, intensity 90
- (0 2 1), d = 2.489 Å, 2θ 36.1, intensity 100
- (0 0 2), d = 2.478 Å, 2θ 36.3, intensity 67
- (2 2 0), d = 2.464 Å, 2θ 36.5, intensity 63
- (2 2 -1), d = 2.287 Å, 2θ 39.4, intensity 66
- (4 2 -1), d = 1.800 Å, 2θ 50.7, intensity 68
- (4 2 1), d = 1.651 Å, 2θ 55.7, intensity 70


Record 3
This entry pairs a crystal structure of Mn3Cu3O8 with its computed X-ray powder pattern. Radiation: Cu Kα X-rays. Structure: DFT lattice parameters and positions (PBE+U).
Intensities are scaled so that the largest is 100.

Structural model:
```
data_Mn3Cu3O8
_chemical_formula_sum 'Mn12 Cu12 O32'
_cell_length_a 8.4545
_cell_length_b 8.4545
_cell_length_c 8.4545
_cell_angle_alpha 90.00
_cell_angle_beta 90.00
_cell_angle_gamma 90.00
_symmetry_space_group_name_H-M 'P 43 3 2'
_symmetry_Int_Tables_number 212
_symmetry_space_group_name_Hall 'P 4acd 2ab 3'
loop_
_atom_site_label
_atom_site_type_symbol
_atom_site_fract_x
_atom_site_fract_y
_atom_site_fract_z
_atom_site_occupancy
Mn1 Mn 0.1206 0.1294 0.6250 1
Cu1 Cu 0.0071 0.0071 0.0071 1
Cu2 Cu 0.1250 0.8750 0.3750 1
O1 O 0.1039 0.1228 0.3898 1
O2 O 0.1170 0.6170 0.8830 1
```

The 10 most intense peaks (10 to 90 degrees two-theta), sorted by position:
- (1 1 1), d = 4.881 Å, 2θ 18.2, intensity 6
- (2 2 0), d = 2.989 Å, 2θ 29.9, intensity 34
- (3 1 1), d = 2.549 Å, 2θ 35.2, intensity 100
- (2 2 2), d = 2.441 Å, 2θ 36.8, intensity 8
- (4 0 0), d = 2.114 Å, 2θ 42.8, intensity 15
- (4 2 2), d = 1.726 Å, 2θ 53.1, intensity 12
- (5 1 1), d = 1.627 Å, 2θ 56.6, intensity 36
- (4 4 0), d = 1.495 Å, 2θ 62.1, intensity 42
- (5 3 3), d = 1.289 Å, 2θ 73.4, intensity 10
- (5 5 3), d = 1.101 Å, 2θ 88.9, intensity 16


Record 4
This entry pairs a crystal structure of MnCu6O8 with its computed X-ray powder pattern. Radiation: Cu Kα X-rays. Structure: DFT lattice parameters and positions (PBE+U).
Intensities are scaled so that the largest is 100.

Structural model:
```
data_MnCu6O8
_chemical_formula_sum 'Mn4 Cu24 O32'
_cell_length_a 9.1583
_cell_length_b 9.1583
_cell_length_c 9.1583
_cell_angle_alpha 90.00
_cell_angle_beta 90.00
_cell_angle_gamma 90.00
_symmetry_space_group_name_H-M 'F m -3 m'
_symmetry_Int_Tables_number 225
_symmetry_space_group_name_Hall '-F 4 2 3'
loop_
_atom_site_label
_atom_site_type_symbol
_atom_site_fract_x
_atom_site_fract_y
_atom_site_fract_z
_atom_site_occupancy
Mn1 Mn 0.0000 0.0000 0.0000 1
Cu1 Cu 0.0000 0.2500 0.2500 1
O1 O 0.1409 0.1409 0.1409 1
```

The 10 most intense peaks (10 to 90 degrees two-theta), sorted by position:
- (1 1 1), d = 5.288 Å, 2θ 16.8, intensity 24
- (2 0 0), d = 4.579 Å, 2θ 19.4, intensity 17
- (2 2 0), d = 3.238 Å, 2θ 27.5, intensity 7
- (2 2 2), d = 2.644 Å, 2θ 33.9, intensity 100
- (4 0 0), d = 2.290 Å, 2θ 39.4, intensity 28
- (3 3 1), d = 2.101 Å, 2θ 43.1, intensity 9
- (4 4 0), d = 1.619 Å, 2θ 56.9, intensity 45
- (6 2 2), d = 1.381 Å, 2θ 67.9, intensity 35
- (4 4 4), d = 1.322 Å, 2θ 71.4, intensity 7
- (8 0 0), d = 1.145 Å, 2θ 84.7, intensity 6


Record 5
This entry pairs a crystal structure of MnCuO3 with its computed X-ray powder pattern. Radiation: Cu Kα X-rays. Structure: DFT lattice parameters and positions (PBE+U).
Intensities are scaled so that the largest is 100.

Structural model:
```
data_MnCuO3
_chemical_formula_sum 'Mn6 Cu6 O18'
_cell_length_a 5.0326
_cell_length_b 5.0326
_cell_length_c 13.7429
_cell_angle_alpha 90.00
_cell_angle_beta 90.00
_cell_angle_gamma 120.00
_symmetry_space_group_name_H-M 'R -3'
_symmetry_Int_Tables_number 148
_symmetry_space_group_name_Hall '-R 3'
loop_
_atom_site_label
_atom_site_type_symbol
_atom_site_fract_x
_atom_site_fract_y
_atom_site_fract_z
_atom_site_occupancy
Mn1 Mn 0.0000 0.0000 0.1553 1
Cu1 Cu 0.0000 0.0000 0.3570 1
O1 O 0.0144 0.7021 0.7540 1
```

The 10 most intense peaks (10 to 90 degrees two-theta), sorted by position:
- (0 1 2), d = 3.680 Å, 2θ 24.2, intensity 43
- (1 0 4), d = 2.698 Å, 2θ 33.2, intensity 100
- (1 1 0), d = 2.516 Å, 2θ 35.7, intensity 88
- (1 1 3), d = 2.205 Å, 2θ 40.9, intensity 19
- (0 2 4), d = 1.840 Å, 2θ 49.5, intensity 39
- (2 -1 6), d = 1.694 Å, 2θ 54.1, intensity 63
- (3 -1 4), d = 1.485 Å, 2θ 62.5, intensity 33
- (3 0 0), d = 1.453 Å, 2θ 64.1, intensity 35
- (1 0 10), d = 1.311 Å, 2θ 72.1, intensity 13
- (2 2 6), d = 1.103 Å, 2θ 88.7, intensity 13


Record 6
This entry pairs a crystal structure of Mn11Cu7O24 with its computed X-ray powder pattern. Radiation: Cu Kα X-rays. Structure: DFT lattice parameters and positions (PBE+U).
Intensities are scaled so that the largest is 100.

Structural model:
```
data_Mn11Cu7O24
_chemical_formula_sum 'Mn11 Cu7 O24'
_cell_length_a 6.0640
_cell_length_b 8.3560
_cell_length_c 10.3680
_cell_angle_alpha 66.24
_cell_angle_beta 74.95
_cell_angle_gamma 89.80
_symmetry_space_group_name_H-M 'P 1'
_symmetry_Int_Tables_number 1
loop_
_symmetry_equiv_pos_as_xyz
'x,y,z'
loop_
_atom_site_label
_atom_site_type_symbol
_atom_site_fract_x
_atom_site_fract_y
_atom_site_fract_z
_atom_site_occupancy
Mn1 Mn 0.0000 0.0000 0.0000 1
Mn2 Mn 0.0022 0.9997 0.4990 1
Mn3 Mn 0.1707 0.1670 0.6659 1
Mn4 Mn 0.3335 0.3340 0.8322 1
Mn5 Mn 0.3412 0.3337 0.3321 1
Mn6 Mn 0.4972 0.4989 0.0008 1
Mn7 Mn 0.5019 0.0008 0.4984 1
Mn8 Mn 0.6628 0.6670 0.6658 1
Mn9 Mn 0.6691 0.6670 0.1660 1
Mn10 Mn 0.8324 0.3332 0.8330 1
Mn11 Mn 0.8352 0.8342 0.3312 1
Cu1 Cu 0.0797 0.7077 0.8368 1
Cu2 Cu 0.1693 0.6673 0.1659 1
Cu3 Cu 0.2524 0.6247 0.4958 1
Cu4 Cu 0.4121 0.0411 0.1654 1
Cu5 Cu 0.5825 0.9549 0.8362 1
Cu6 Cu 0.7552 0.3786 0.4953 1
Cu7 Cu 0.9263 0.2947 0.1656 1
O1 O 0.0141 0.2492 0.9812 1
O2 O 0.0275 0.2386 0.5000 1
O3 O 0.1375 0.9129 0.1657 1
O4 O 0.1706 0.3993 0.6780 1
O5 O 0.1806 0.9354 0.6486 1
O6 O 0.2008 0.4215 0.1671 1
O7 O 0.3174 0.0978 0.8288 1
O8 O 0.3434 0.0906 0.3448 1
O9 O 0.3447 0.5671 0.8394 1
O10 O 0.3561 0.5782 0.3164 1
O11 O 0.4896 0.2388 0.4938 1
O12 O 0.4955 0.2689 0.9862 1
O13 O 0.5037 0.7290 0.0132 1
O14 O 0.5245 0.7639 0.4968 1
O15 O 0.6520 0.4293 0.1637 1
O16 O 0.6538 0.4207 0.6820 1
O17 O 0.6601 0.9090 0.6545 1
O18 O 0.6814 0.9023 0.1710 1
O19 O 0.8041 0.5700 0.8345 1
O20 O 0.8229 0.0645 0.3502 1
O21 O 0.8349 0.6046 0.3185 1
O22 O 0.8504 0.0946 0.8380 1
O23 O 0.9806 0.7553 0.0157 1
O24 O 0.9844 0.7650 0.4928 1
```

The 10 most intense peaks (10 to 90 degrees two-theta), sorted by position:
- (0 0 3), d = 3.030 Å, 2θ 29.5, intensity 51
- (1 2 3), d = 2.965 Å, 2θ 30.1, intensity 32
- (-1 1 3), d = 2.617 Å, 2θ 34.3, intensity 100
- (2 -1 2), d = 2.544 Å, 2θ 35.3, intensity 88
- (0 3 3), d = 2.531 Å, 2θ 35.5, intensity 88
- (2 -1 5), d = 1.621 Å, 2θ 56.8, intensity 21
- (0 5 1), d = 1.612 Å, 2θ 57.2, intensity 21
- (0 0 6), d = 1.517 Å, 2θ 61.1, intensity 21
- (2 4 0), d = 1.514 Å, 2θ 61.2, intensity 41
- (-2 4 4), d = 1.508 Å, 2θ 61.5, intensity 20